No. 1
# AcEr2Tm
Theoretical X-ray powder pattern, CuKα. Input: DFT lattice parameters and positions (GGA-PBE).
Intensities are scaled so that the largest is 100.

Peak list (10 most intense, 10° ≤ 2θ ≤ 90°, most intense first)
31.91 deg, I 100.0
32.45 deg, I 39.9
31.00 deg, I 33.7
59.94 deg, I 20.6
55.72 deg, I 20.5
27.80 deg, I 19.2
49.93 deg, I 17.9
28.41 deg, I 14.7
59.83 deg, I 14.2
42.12 deg, I 12.7

Atomic structure:
```
AcEr2Tm
1.0
3.7328 0.0000 0.0000
0.0000 11.5389 0.0000
0.0000 0.0000 6.2834
Ac Er Tm
2 4 2
Direct
0.0000 0.0000 0.0000 Ac
0.5000 0.5000 0.5000 Ac
0.0000 0.2433 0.3528 Er
0.0000 0.7567 0.3528 Er
0.5000 0.2567 0.8528 Er
0.5000 0.7433 0.8528 Er
0.0000 0.5000 0.0086 Tm
0.5000 0.0000 0.5086 Tm
```


No. 2
# AcErTm3
Theoretical X-ray powder pattern, CuKα. Input: DFT lattice parameters and positions (GGA-PBE).
Intensities are scaled so that the largest is 100.

Peak list (10 most intense, 10° ≤ 2θ ≤ 90°, most intense first)
31.16 deg, I 100.0
30.92 deg, I 99.9
32.68 deg, I 40.5
37.07 deg, I 37.5
38.04 deg, I 25.0
50.23 deg, I 24.6
54.16 deg, I 18.2
57.53 deg, I 16.6
63.01 deg, I 13.7
63.15 deg, I 13.5

Atomic structure:
```
AcErTm3
1.0
9.0170 -2.4256 0.0000
9.0170 2.4256 0.0000
-3.1932 0.0000 7.9081
Ac Er Tm
2 2 6
Direct
0.1151 0.1151 0.1487 Ac
0.8849 0.8849 0.8513 Ac
0.3125 0.3125 0.1113 Er
0.6875 0.6875 0.8887 Er
0.0561 0.0561 0.6964 Tm
0.2270 0.2270 0.6277 Tm
0.4147 0.4147 0.5508 Tm
0.5853 0.5853 0.4492 Tm
0.7730 0.7730 0.3723 Tm
0.9439 0.9439 0.3036 Tm
```


No. 3
# AcY10Er4
Theoretical X-ray powder pattern, CuKα. Input: DFT lattice parameters and positions (GGA-PBE).
Intensities are scaled so that the largest is 100.

Peak list (10 most intense, 10° ≤ 2θ ≤ 90°, most intense first)
32.66 deg, I 100.0
19.85 deg, I 84.5
32.77 deg, I 49.9
58.42 deg, I 36.4
38.61 deg, I 31.3
58.21 deg, I 18.6
47.02 deg, I 17.6
38.41 deg, I 15.9
78.18 deg, I 15.1
51.36 deg, I 14.0

Atomic structure:
```
AcY10Er4
1.0
-6.1113 6.1113 3.8911
6.1113 -6.1113 3.8911
6.1113 6.1113 -3.8911
Ac Y Er
1 10 4
Direct
0.0000 0.0000 0.0000 Ac
0.0501 0.1570 0.6886 Y
0.1570 0.4683 0.1068 Y
0.2500 0.7500 0.5000 Y
0.3615 0.0501 0.8932 Y
0.4683 0.3615 0.3114 Y
0.5317 0.6385 0.6886 Y
0.6385 0.9499 0.1068 Y
0.7500 0.2500 0.5000 Y
0.8430 0.5317 0.8932 Y
0.9499 0.8430 0.3114 Y
0.2007 0.6011 0.8018 Er
0.3989 0.2007 0.5996 Er
0.6011 0.7993 0.4004 Er
0.7993 0.3989 0.1982 Er
```


No. 4
# AcY2Er4
Theoretical X-ray powder pattern, CuKα. Input: DFT lattice parameters and positions (GGA-PBE).
Intensities are scaled so that the largest is 100.

Peak list (10 most intense, 10° ≤ 2θ ≤ 90°, most intense first)
30.65 deg, I 100.0
30.48 deg, I 78.6
31.14 deg, I 66.7
31.05 deg, I 64.1
30.14 deg, I 36.2
37.42 deg, I 34.8
32.14 deg, I 25.5
56.35 deg, I 24.8
31.25 deg, I 20.1
33.34 deg, I 18.3

Atomic structure:
```
AcY2Er4
1.0
6.7728 0.0000 0.0000
-2.0131 8.7953 0.0000
-1.5472 -4.4171 7.7854
Ac Y Er
2 4 8
Direct
0.0000 0.0000 0.0000 Ac
0.3389 0.8338 0.4856 Ac
0.0393 0.0776 0.4162 Y
0.0741 0.6328 0.0306 Y
0.5923 0.4965 0.7018 Y
0.7876 0.3682 0.1782 Y
0.0628 0.4787 0.6073 Er
0.3244 0.2479 0.8551 Er
0.3377 0.4257 0.2917 Er
0.4579 0.8832 0.8945 Er
0.5361 0.1174 0.3323 Er
0.6089 0.6956 0.1438 Er
0.7957 0.1921 0.7438 Er
0.8437 0.7608 0.5449 Er
```


No. 5
# Ac2Y2Er
Theoretical X-ray powder pattern, CuKα. Input: DFT lattice parameters and positions (GGA-PBE).
Intensities are scaled so that the largest is 100.

Peak list (10 most intense, 10° ≤ 2θ ≤ 90°, most intense first)
31.08 deg, I 100.0
30.00 deg, I 29.0
27.15 deg, I 28.3
31.17 deg, I 20.3
57.58 deg, I 18.5
53.91 deg, I 16.9
47.94 deg, I 16.1
40.86 deg, I 12.4
58.22 deg, I 10.1
54.05 deg, I 8.3

Atomic structure:
```
Ac2Y2Er
1.0
6.5778 0.0000 0.0000
-3.2866 6.2574 0.0000
-0.0102 -3.3617 9.0125
Ac Y Er
4 4 2
Direct
0.0298 0.3908 0.1522 Ac
0.3592 0.3915 0.6496 Ac
0.6408 0.6085 0.3504 Ac
0.9702 0.6092 0.8478 Ac
0.1756 0.9997 0.2511 Y
0.4324 0.1917 0.9468 Y
0.5676 0.8083 0.0532 Y
0.8244 0.0003 0.7489 Y
0.2417 0.8091 0.5505 Er
0.7583 0.1909 0.4495 Er
```


No. 6
# Ac7Y2Er2
Theoretical X-ray powder pattern, CuKα. Input: DFT lattice parameters and positions (GGA-PBE).
Intensities are scaled so that the largest is 100.

Peak list (10 most intense, 10° ≤ 2θ ≤ 90°, most intense first)
29.88 deg, I 100.0
29.63 deg, I 57.5
29.45 deg, I 53.6
52.51 deg, I 23.5
24.25 deg, I 22.1
22.64 deg, I 20.4
25.88 deg, I 18.8
38.52 deg, I 17.7
58.81 deg, I 15.8
30.12 deg, I 13.4

Atomic structure:
```
Ac7Y2Er2
1.0
7.3426 0.0000 0.0000
0.0000 6.0664 0.0000
-0.1671 0.0000 10.3061
Ac Y Er
7 2 2
Direct
0.0000 0.0000 0.0000 Ac
0.0007 0.5000 0.6937 Ac
0.4940 0.0000 0.8292 Ac
0.4976 0.5000 0.6603 Ac
0.5024 0.5000 0.3397 Ac
0.5060 0.0000 0.1708 Ac
0.9993 0.5000 0.3063 Ac
0.2788 0.5000 0.0014 Y
0.7212 0.5000 0.9986 Y
0.2646 0.0000 0.4963 Er
0.7354 0.0000 0.5037 Er
```


No. 7
# AcY7Er2
Theoretical X-ray powder pattern, CuKα. Input: DFT lattice parameters and positions (GGA-PBE).
Intensities are scaled so that the largest is 100.

Peak list (10 most intense, 10° ≤ 2θ ≤ 90°, most intense first)
30.41 deg, I 100.0
35.22 deg, I 33.3
50.70 deg, I 29.7
60.22 deg, I 20.9
35.32 deg, I 16.9
60.32 deg, I 14.0
63.25 deg, I 9.1
82.52 deg, I 8.5
82.66 deg, I 8.4
60.39 deg, I 6.9

Atomic structure:
```
AcY7Er2
1.0
6.2303 0.0000 0.0000
1.0552 6.1470 0.0000
3.1150 2.6238 8.6184
Ac Y Er
1 7 2
Direct
0.0000 0.0000 0.0000 Ac
0.2009 0.0034 0.5963 Y
0.3053 0.5006 0.8969 Y
0.3970 0.9992 0.2052 Y
0.5000 0.5000 0.5000 Y
0.6030 0.0008 0.7948 Y
0.6947 0.4994 0.1031 Y
0.7991 0.9966 0.4037 Y
0.0988 0.4959 0.3041 Er
0.9012 0.5041 0.6959 Er
```


No. 8
# AcY2Er6
Theoretical X-ray powder pattern, CuKα. Input: DFT lattice parameters and positions (GGA-PBE).
Intensities are scaled so that the largest is 100.

Peak list (10 most intense, 10° ≤ 2θ ≤ 90°, most intense first)
33.44 deg, I 100.0
35.16 deg, I 82.8
30.38 deg, I 58.6
10.55 deg, I 48.1
32.03 deg, I 38.9
53.59 deg, I 35.5
28.18 deg, I 33.7
15.37 deg, I 33.1
63.81 deg, I 32.4
41.91 deg, I 21.5

Atomic structure:
```
AcY2Er6
1.0
3.4204 1.9748 8.3830
-3.4204 1.9748 8.3830
0.0000 -3.9495 8.3830
Ac Y Er
1 2 6
Direct
0.0000 0.0000 0.0000 Ac
0.5820 0.5820 0.5820 Y
0.7583 0.7583 0.7583 Y
0.0466 0.0466 0.5592 Er
0.0466 0.5592 0.0466 Er
0.2846 0.2846 0.7798 Er
0.2846 0.7798 0.2846 Er
0.5592 0.0466 0.0466 Er
0.7798 0.2846 0.2846 Er
```


No. 9
# AcY8Er3
Theoretical X-ray powder pattern, CuKα. Input: DFT lattice parameters and positions (GGA-PBE).
Intensities are scaled so that the largest is 100.

Peak list (10 most intense, 10° ≤ 2θ ≤ 90°, most intense first)
32.30 deg, I 100.0
28.15 deg, I 24.1
31.33 deg, I 24.0
60.04 deg, I 22.1
56.39 deg, I 20.0
49.82 deg, I 19.6
60.63 deg, I 16.2
42.62 deg, I 15.5
82.20 deg, I 13.5
16.14 deg, I 10.3

Atomic structure:
```
AcY8Er3
1.0
-5.4943 5.7096 3.1686
5.4943 -5.7096 3.1686
5.4943 5.7096 -3.1686
Ac Y Er
1 8 3
Direct
0.0000 0.0000 0.0000 Ac
0.0881 0.9997 0.4216 Y
0.0881 0.6665 0.0884 Y
0.4999 0.3310 0.8312 Y
0.4999 0.6687 0.1688 Y
0.5781 0.9997 0.9116 Y
0.5781 0.6665 0.5784 Y
0.9976 0.3348 0.3372 Y
0.9976 0.6603 0.6628 Y
0.0797 0.3333 0.7464 Er
0.5021 0.0021 0.5000 Er
0.5870 0.3333 0.2536 Er
```


No. 10
# AcY7Er12
Theoretical X-ray powder pattern, CuKα. Input: DFT lattice parameters and positions (GGA-PBE).
Intensities are scaled so that the largest is 100.

Peak list (10 most intense, 10° ≤ 2θ ≤ 90°, most intense first)
31.39 deg, I 100.0
32.16 deg, I 51.8
29.68 deg, I 46.1
32.95 deg, I 45.0
33.30 deg, I 28.0
30.84 deg, I 24.5
54.89 deg, I 22.5
37.47 deg, I 18.5
42.46 deg, I 17.8
17.90 deg, I 15.6

Atomic structure:
```
AcY7Er12
1.0
6.0317 3.4824 5.2320
-6.0317 3.4824 5.2320
0.0000 -6.9648 5.2320
Ac Y Er
1 7 12
Direct
0.0000 0.0000 0.0000 Ac
0.0612 0.3932 0.1569 Y
0.1569 0.0612 0.3932 Y
0.3932 0.1569 0.0612 Y
0.5000 0.5000 0.5000 Y
0.6068 0.8431 0.9388 Y
0.8431 0.9388 0.6068 Y
0.9388 0.6068 0.8431 Y
0.1359 0.6211 0.4960 Er
0.1480 0.2744 0.7241 Er
0.2744 0.7241 0.1480 Er
0.2759 0.8520 0.7256 Er
0.3789 0.5040 0.8641 Er
0.4960 0.1359 0.6211 Er
0.5040 0.8641 0.3789 Er
0.6211 0.4960 0.1359 Er
0.7241 0.1480 0.2745 Er
0.7256 0.2759 0.8520 Er
0.8520 0.7256 0.2759 Er
0.8641 0.3789 0.5040 Er
```


No. 11
# AcEu3
Theoretical X-ray powder pattern, CuKα. Input: DFT lattice parameters and positions (GGA-PBE).
Intensities are scaled so that the largest is 100.

Peak list (10 most intense, 10° ≤ 2θ ≤ 90°, most intense first)
27.75 deg, I 100.0
32.16 deg, I 51.5
54.68 deg, I 46.2
46.12 deg, I 38.1
74.26 deg, I 18.9
76.53 deg, I 17.4
85.43 deg, I 13.4
57.33 deg, I 13.4
67.27 deg, I 6.2
15.92 deg, I 2.6

Atomic structure:
```
AcEu3
1.0
5.5673 0.0000 0.0000
0.0000 5.5673 0.0000
0.0000 0.0000 5.5673
Ac Eu
1 3
Direct
0.0000 0.0000 0.0000 Ac
0.0000 0.5000 0.5000 Eu
0.5000 0.0000 0.5000 Eu
0.5000 0.5000 0.0000 Eu
```


No. 12
# AcEuTmGa
Theoretical X-ray powder pattern, CuKα. Input: DFT lattice parameters and positions (GGA-PBE).
Intensities are scaled so that the largest is 100.

Peak list (10 most intense, 10° ≤ 2θ ≤ 90°, most intense first)
32.09 deg, I 100.0
57.21 deg, I 39.0
46.02 deg, I 18.6
76.35 deg, I 16.8
19.49 deg, I 12.7
67.12 deg, I 12.1
37.82 deg, I 7.5
85.22 deg, I 4.3
50.42 deg, I 3.4
61.03 deg, I 2.7

Atomic structure:
```
AcEuTmGa
1.0
7.8890 0.0000 0.0000
0.0000 7.8890 0.0000
0.0000 0.0000 7.8890
Ac Eu Tm Ga
4 4 4 4
Direct
0.0000 0.0000 0.0000 Ac
0.0000 0.5000 0.5000 Ac
0.5000 0.0000 0.5000 Ac
0.5000 0.5000 0.0000 Ac
0.2500 0.2500 0.7500 Eu
0.2500 0.7500 0.2500 Eu
0.7500 0.2500 0.2500 Eu
0.7500 0.7500 0.7500 Eu
0.2500 0.2500 0.2500 Tm
0.2500 0.7500 0.7500 Tm
0.7500 0.2500 0.7500 Tm
0.7500 0.7500 0.2500 Tm
0.0000 0.0000 0.5000 Ga
0.0000 0.5000 0.0000 Ga
0.5000 0.0000 0.0000 Ga
0.5000 0.5000 0.5000 Ga
```


No. 13
# AcEuThMg
Theoretical X-ray powder pattern, CuKα. Input: DFT lattice parameters and positions (GGA-PBE).
Intensities are scaled so that the largest is 100.

Peak list (10 most intense, 10° ≤ 2θ ≤ 90°, most intense first)
30.65 deg, I 100.0
54.49 deg, I 40.6
18.63 deg, I 24.0
88.75 deg, I 21.8
43.90 deg, I 19.0
72.46 deg, I 17.6
36.11 deg, I 14.4
63.83 deg, I 12.7
48.08 deg, I 6.6
58.10 deg, I 5.1

Atomic structure:
```
AcEuThMg
1.0
8.2491 0.0000 0.0000
0.0000 8.2491 0.0000
0.0000 0.0000 8.2491
Ac Eu Th Mg
4 4 4 4
Direct
0.0000 0.0000 0.0000 Ac
0.0000 0.5000 0.5000 Ac
0.5000 0.0000 0.5000 Ac
0.5000 0.5000 0.0000 Ac
0.2500 0.2500 0.7500 Eu
0.2500 0.7500 0.2500 Eu
0.7500 0.2500 0.2500 Eu
0.7500 0.7500 0.7500 Eu
0.2500 0.2500 0.2500 Th
0.2500 0.7500 0.7500 Th
0.7500 0.2500 0.7500 Th
0.7500 0.7500 0.2500 Th
0.0000 0.0000 0.5000 Mg
0.0000 0.5000 0.0000 Mg
0.5000 0.0000 0.0000 Mg
0.5000 0.5000 0.5000 Mg
```


No. 14
# AcEuN2
Theoretical X-ray powder pattern, CuKα. Input: DFT lattice parameters and positions (GGA-PBE).
Intensities are scaled so that the largest is 100.

Peak list (10 most intense, 10° ≤ 2θ ≤ 90°, most intense first)
29.01 deg, I 100.0
33.62 deg, I 69.5
57.29 deg, I 35.7
48.22 deg, I 25.1
48.35 deg, I 24.8
60.07 deg, I 12.9
57.41 deg, I 11.9
80.49 deg, I 11.2
80.68 deg, I 11.1
78.04 deg, I 10.0

Atomic structure:
```
AcEuN2
1.0
3.7743 0.0000 0.0000
-1.8871 3.2686 0.0000
0.0000 0.0000 18.4235
Ac Eu N
3 3 6
Direct
0.0000 0.0000 0.0000 Ac
0.3333 0.6667 0.6667 Ac
0.6667 0.3333 0.3333 Ac
0.0000 0.0000 0.5000 Eu
0.3333 0.6667 0.1667 Eu
0.6667 0.3333 0.8333 Eu
0.0000 0.0000 0.2465 N
0.0000 0.0000 0.7535 N
0.3333 0.6667 0.4202 N
0.3333 0.6667 0.9131 N
0.6667 0.3333 0.0869 N
0.6667 0.3333 0.5798 N
```